(1)
BaGdIn4: simulated powder XRD pattern (copper Kα), based on the GGA-PBE geometry in Alexandria.

Largest 10 diffraction maxima, sorted by position, 2θ = 5–70°:
d_spacing	2theta	I/Imax
5.099	17.39	1
3.123	28.59	33
2.663	33.65	100
2.550	35.20	34
2.208	40.87	2
1.803	50.63	13
1.700	53.94	34
1.561	59.18	29
1.396	67.01	6
1.347	69.83	12

Crystal structure
```
data_BaGdIn4
_chemical_formula_sum 'Ba1 Gd1 In4'
_symmetry_space_group_name_H-M 'P 1'
_symmetry_Int_Tables_number 1
_cell_length_a 6.2453
_cell_length_b 6.2453
_cell_length_c 6.2453
_cell_angle_alpha 60.00
_cell_angle_beta 60.00
_cell_angle_gamma 60.00
loop_
_symmetry_equiv_pos_as_xyz
'x,y,z'
loop_
_atom_site_label
_atom_site_type_symbol
_atom_site_fract_x
_atom_site_fract_y
_atom_site_fract_z
Ba1 Ba 0.0000 0.0000 0.0000
Gd1 Gd 0.7500 0.7500 0.7500
In1 In 0.3754 0.3754 0.3754
In2 In 0.3754 0.3754 0.8738
In3 In 0.3754 0.8738 0.3754
In4 In 0.8738 0.3754 0.3754
```

***

(2)
Na2LuC2O6F: simulated powder XRD pattern (copper Kα), based on the GGA-PBE geometry in Alexandria.

Largest 10 diffraction maxima, sorted by position, 2θ = 5–70°:
d_spacing	2theta	I/Imax
8.764	10.09	100
5.751	15.41	38
5.099	17.39	68
4.897	18.11	23
4.665	19.02	31
3.905	22.77	31
3.566	24.97	32
3.388	26.31	21
2.941	30.39	26
2.849	31.40	27

Crystal structure
```
data_Na2LuC2O6F
_chemical_formula_sum 'Na8 Lu4 C8 O24 F4'
_symmetry_space_group_name_H-M 'P 1'
_symmetry_Int_Tables_number 1
_cell_length_a 9.2889
_cell_length_b 9.2889
_cell_length_c 11.4122
_cell_angle_alpha 92.88
_cell_angle_beta 92.88
_cell_angle_gamma 38.26
loop_
_symmetry_equiv_pos_as_xyz
'x,y,z'
loop_
_atom_site_label
_atom_site_type_symbol
_atom_site_fract_x
_atom_site_fract_y
_atom_site_fract_z
Na1 Na 0.0202 0.2027 0.3802
Na2 Na 0.1672 0.3605 0.1343
Na3 Na 0.2027 0.0202 0.8802
Na4 Na 0.3605 0.1672 0.6343
Na5 Na 0.6395 0.8328 0.3657
Na6 Na 0.7973 0.9798 0.1198
Na7 Na 0.8328 0.6395 0.8657
Na8 Na 0.9798 0.7973 0.6198
Lu1 Lu 0.2855 0.5974 0.3718
Lu2 Lu 0.4026 0.7145 0.1282
Lu3 Lu 0.5974 0.2855 0.8718
Lu4 Lu 0.7145 0.4026 0.6282
C1 C 0.1455 0.7372 0.8834
C2 C 0.2126 0.3767 0.4161
C3 C 0.2628 0.8545 0.6166
C4 C 0.3767 0.2126 0.9161
C5 C 0.6233 0.7874 0.0839
C6 C 0.7372 0.1455 0.3834
C7 C 0.7874 0.6233 0.5839
C8 C 0.8545 0.2628 0.1166
O1 O 0.0672 0.0781 0.0880
O2 O 0.0781 0.0672 0.5880
O3 O 0.1197 0.4993 0.3210
O4 O 0.2089 0.6004 0.7978
O5 O 0.2100 0.2551 0.9288
O6 O 0.2551 0.2100 0.4288
O7 O 0.2690 0.4302 0.4998
O8 O 0.3146 0.6736 0.9409
O9 O 0.3264 0.6854 0.5591
O10 O 0.3996 0.7911 0.7022
O11 O 0.4302 0.2690 0.9998
O12 O 0.4993 0.1197 0.8210
O13 O 0.5007 0.8803 0.1790
O14 O 0.5698 0.7310 0.0002
O15 O 0.6004 0.2089 0.2978
O16 O 0.6736 0.3146 0.4409
O17 O 0.6854 0.3264 0.0591
O18 O 0.7310 0.5698 0.5002
O19 O 0.7449 0.7900 0.5712
O20 O 0.7900 0.7449 0.0712
O21 O 0.7911 0.3996 0.2022
O22 O 0.8803 0.5007 0.6790
O23 O 0.9219 0.9328 0.4120
O24 O 0.9328 0.9219 0.9120
F1 F 0.2028 0.6809 0.1830
F2 F 0.3191 0.7972 0.3170
F3 F 0.6809 0.2028 0.6830
F4 F 0.7972 0.3191 0.8170
```

***

(3)
Ag5PdAu2: simulated powder XRD pattern (copper Kα), based on the GGA-PBE geometry in Alexandria.

Largest 10 diffraction maxima, sorted by position, 2θ = 5–70°:
d_spacing	2theta	I/Imax
4.202	21.14	3
4.083	21.77	5
2.928	30.53	4
2.887	30.97	2
2.380	37.81	100
2.101	43.05	17
2.041	44.37	32
1.675	54.82	2
1.464	63.54	21
1.444	64.56	10

Crystal structure
```
data_Ag5PdAu2
_chemical_formula_sum 'Ag10 Pd2 Au4'
_symmetry_space_group_name_H-M 'P 1'
_symmetry_Int_Tables_number 1
_cell_length_a 5.7759
_cell_length_b 11.5449
_cell_length_c 4.2025
_cell_angle_alpha 90.00
_cell_angle_beta 90.00
_cell_angle_gamma 90.00
loop_
_symmetry_equiv_pos_as_xyz
'x,y,z'
loop_
_atom_site_label
_atom_site_type_symbol
_atom_site_fract_x
_atom_site_fract_y
_atom_site_fract_z
Ag1 Ag 0.0000 0.0000 0.0000
Ag2 Ag 0.0031 0.2510 0.0000
Ag3 Ag 0.2491 0.8756 0.5000
Ag4 Ag 0.2509 0.3756 0.5000
Ag5 Ag 0.4969 0.7510 0.0000
Ag6 Ag 0.5000 0.5000 0.0000
Ag7 Ag 0.5031 0.2490 0.0000
Ag8 Ag 0.7491 0.6244 0.5000
Ag9 Ag 0.7509 0.1244 0.5000
Ag10 Ag 0.9969 0.7490 0.0000
Pd1 Pd 0.0000 0.5000 0.0000
Pd2 Pd 0.5000 0.0000 0.0000
Au1 Au 0.2449 0.6232 0.5000
Au2 Au 0.2551 0.1232 0.5000
Au3 Au 0.7449 0.8768 0.5000
Au4 Au 0.7551 0.3768 0.5000
```

***

(4)
Ac6Pr2Nd3: simulated powder XRD pattern (copper Kα), based on the GGA-PBE geometry in Alexandria.

Largest 10 diffraction maxima, sorted by position, 2θ = 5–70°:
d_spacing	2theta	I/Imax
6.032	14.69	13
3.143	28.39	100
3.016	29.62	30
2.693	33.27	67
1.935	46.95	26
1.875	48.55	23
1.648	55.78	16
1.629	56.50	30
1.592	57.91	14
1.572	58.75	13

Crystal structure
```
data_Ac6Pr2Nd3
_chemical_formula_sum 'Ac6 Pr2 Nd3'
_symmetry_space_group_name_H-M 'P 1'
_symmetry_Int_Tables_number 1
_cell_length_a 6.7064
_cell_length_b 6.7064
_cell_length_c 12.2723
_cell_angle_alpha 95.25
_cell_angle_beta 95.25
_cell_angle_gamma 120.07
loop_
_symmetry_equiv_pos_as_xyz
'x,y,z'
loop_
_atom_site_label
_atom_site_type_symbol
_atom_site_fract_x
_atom_site_fract_y
_atom_site_fract_z
Ac1 Ac 0.0822 0.4145 0.2467
Ac2 Ac 0.2496 0.2496 0.7535
Ac3 Ac 0.4145 0.0822 0.2467
Ac4 Ac 0.5855 0.9178 0.7533
Ac5 Ac 0.7504 0.7504 0.2465
Ac6 Ac 0.9178 0.5855 0.7533
Pr1 Pr 0.3336 0.6664 0.0000
Pr2 Pr 0.6664 0.3336 0.0000
Nd1 Nd 0.1661 0.8339 0.5000
Nd2 Nd 0.5000 0.5000 0.5000
Nd3 Nd 0.8339 0.1661 0.5000
```

***

(5)
Na4Sn3O8: simulated powder XRD pattern (copper Kα), based on the GGA-PBE geometry in Alexandria.

Largest 10 diffraction maxima, sorted by position, 2θ = 5–70°:
d_spacing	2theta	I/Imax
6.615	13.39	44
5.401	16.41	100
2.821	31.72	45
2.701	33.17	66
2.339	38.49	92
1.800	50.71	22
1.654	55.57	55
1.581	58.36	21
1.410	66.27	34
1.350	69.63	17

Crystal structure
```
data_Na4Sn3O8
_chemical_formula_sum 'Na16 Sn12 O32'
_symmetry_space_group_name_H-M 'P 1'
_symmetry_Int_Tables_number 1
_cell_length_a 9.3549
_cell_length_b 9.3549
_cell_length_c 9.3549
_cell_angle_alpha 90.00
_cell_angle_beta 90.00
_cell_angle_gamma 90.00
loop_
_symmetry_equiv_pos_as_xyz
'x,y,z'
loop_
_atom_site_label
_atom_site_type_symbol
_atom_site_fract_x
_atom_site_fract_y
_atom_site_fract_z
Na1 Na 0.1069 0.1250 0.8569
Na2 Na 0.1250 0.6250 0.8750
Na3 Na 0.1250 0.8569 0.1069
Na4 Na 0.1431 0.6069 0.3750
Na5 Na 0.3569 0.3931 0.8750
Na6 Na 0.3750 0.1431 0.6069
Na7 Na 0.3750 0.3750 0.3750
Na8 Na 0.3931 0.8750 0.3569
Na9 Na 0.6069 0.3750 0.1431
Na10 Na 0.6250 0.6431 0.8931
Na11 Na 0.6250 0.8750 0.1250
Na12 Na 0.6431 0.8931 0.6250
Na13 Na 0.8569 0.1069 0.1250
Na14 Na 0.8750 0.1250 0.6250
Na15 Na 0.8750 0.3569 0.3931
Na16 Na 0.8931 0.6250 0.6431
Sn1 Sn 0.1175 0.3675 0.1250
Sn2 Sn 0.1250 0.1175 0.3675
Sn3 Sn 0.1325 0.8750 0.6175
Sn4 Sn 0.3675 0.1250 0.1175
Sn5 Sn 0.3750 0.8825 0.8675
Sn6 Sn 0.3825 0.6325 0.6250
Sn7 Sn 0.6175 0.1325 0.8750
Sn8 Sn 0.6250 0.3825 0.6325
Sn9 Sn 0.6325 0.6250 0.3825
Sn10 Sn 0.8675 0.3750 0.8825
Sn11 Sn 0.8750 0.6175 0.1325
Sn12 Sn 0.8825 0.8675 0.3750
O1 O 0.0906 0.3658 0.9042
O2 O 0.0958 0.5906 0.1342
O3 O 0.1158 0.3406 0.3458
O4 O 0.1196 0.8804 0.3804
O5 O 0.1304 0.1304 0.1304
O6 O 0.1342 0.0958 0.5906
O7 O 0.1542 0.8842 0.8406
O8 O 0.1594 0.6542 0.6158
O9 O 0.3406 0.3458 0.1158
O10 O 0.3458 0.1158 0.3406
O11 O 0.3658 0.9042 0.0906
O12 O 0.3696 0.8696 0.6304
O13 O 0.3804 0.1196 0.8804
O14 O 0.3842 0.6594 0.8458
O15 O 0.4042 0.4094 0.6342
O16 O 0.4094 0.6342 0.4042
O17 O 0.5906 0.1342 0.0958
O18 O 0.5958 0.9094 0.8658
O19 O 0.6158 0.1594 0.6542
O20 O 0.6196 0.6196 0.6196
O21 O 0.6304 0.3696 0.8696
O22 O 0.6342 0.4042 0.4094
O23 O 0.6542 0.6158 0.1594
O24 O 0.6594 0.8458 0.3842
O25 O 0.8406 0.1542 0.8842
O26 O 0.8458 0.3842 0.6594
O27 O 0.8658 0.5958 0.9094
O28 O 0.8696 0.6304 0.3696
O29 O 0.8804 0.3804 0.1196
O30 O 0.8842 0.8406 0.1542
O31 O 0.9042 0.0906 0.3658
O32 O 0.9094 0.8658 0.5958
```

***

(6)
K2Cd2O3: simulated powder XRD pattern (copper Kα), based on the GGA-PBE geometry in Alexandria.

Largest 10 diffraction maxima, sorted by position, 2θ = 5–70°:
d_spacing	2theta	I/Imax
6.530	13.56	94
4.204	21.14	23
3.144	28.39	28
3.072	29.07	100
2.993	29.85	30
2.867	31.20	49
2.559	35.07	32
2.394	37.57	51
2.120	42.64	21
1.879	48.45	32

Crystal structure
```
data_K2Cd2O3
_chemical_formula_sum 'K8 Cd8 O12'
_symmetry_space_group_name_H-M 'P 1'
_symmetry_Int_Tables_number 1
_cell_length_a 9.5743
_cell_length_b 9.5743
_cell_length_c 6.2909
_cell_angle_alpha 107.80
_cell_angle_beta 107.80
_cell_angle_gamma 83.26
loop_
_symmetry_equiv_pos_as_xyz
'x,y,z'
loop_
_atom_site_label
_atom_site_type_symbol
_atom_site_fract_x
_atom_site_fract_y
_atom_site_fract_z
K1 K 0.0733 0.9267 0.7500
K2 K 0.2101 0.7899 0.2500
K3 K 0.3172 0.5064 0.4243
K4 K 0.4936 0.6828 0.0757
K5 K 0.5064 0.3172 0.9243
K6 K 0.6828 0.4936 0.5757
K7 K 0.7899 0.2101 0.7500
K8 K 0.9267 0.0733 0.2500
Cd1 Cd 0.0470 0.5850 0.7537
Cd2 Cd 0.1482 0.2831 0.8005
Cd3 Cd 0.2831 0.1482 0.3005
Cd4 Cd 0.4150 0.9530 0.7463
Cd5 Cd 0.5850 0.0470 0.2537
Cd6 Cd 0.7169 0.8518 0.6995
Cd7 Cd 0.8518 0.7169 0.1995
Cd8 Cd 0.9530 0.4150 0.2463
O1 O 0.0599 0.6422 0.4357
O2 O 0.0733 0.2212 0.0686
O3 O 0.2212 0.0733 0.5686
O4 O 0.2608 0.4986 0.9418
O5 O 0.3578 0.9401 0.0643
O6 O 0.4986 0.2608 0.4418
O7 O 0.5014 0.7392 0.5582
O8 O 0.6422 0.0599 0.9357
O9 O 0.7392 0.5014 0.0582
O10 O 0.7788 0.9267 0.4314
O11 O 0.9267 0.7788 0.9314
O12 O 0.9401 0.3578 0.5643
```